# 1
Structure and theoretical PXRD pattern of HoTm4Th6 (a cell relaxed with GGA-PBE; λ = 1.5418 Å (Cu Kα)).
Intensities are scaled so that the largest is 100.

Crystal structure
Lattice parameters (Å, degrees): 11.146 10.368 6.392 79.51 66.17 34.32
Positions (direct):
Ho (0.000, 0.000, 0.000)
Tm (0.090, 0.581, 0.910)
Tm (0.355, 0.814, 0.186)
Tm (0.581, 0.090, 0.419)
Tm (0.814, 0.355, 0.645)
Th (0.398, 0.935, 0.602)
Th (0.430, 0.430, 0.070)
Th (0.520, 0.999, 0.001)
Th (0.930, 0.930, 0.570)
Th (0.935, 0.398, 0.065)
Th (0.999, 0.520, 0.480)

Most intense lines, 2θ from 10° to 90°, in order of rising 2θ:
Position (°2θ)	d_spacing	Rel. int.
30.66	2.916	22
31.61	2.831	39
32.03	2.794	74
32.15	2.784	100
33.40	2.683	45
35.87	2.504	20
46.65	1.947	26
56.71	1.623	14
58.88	1.568	31
63.09	1.474	29

# 2
Structure and theoretical PXRD pattern of Ho3Tm3Th (a cell relaxed with GGA-PBE; λ = 1.5418 Å (Cu Kα)).
Intensities are scaled so that the largest is 100.

Crystal structure
Lattice parameters (Å, degrees): 9.466 9.466 5.620 90.00 90.00 120.00
Positions (direct):
Ho (0.053, 0.241, 0.250)
Ho (0.188, 0.947, 0.250)
Ho (0.241, 0.188, 0.750)
Ho (0.759, 0.812, 0.250)
Ho (0.812, 0.053, 0.750)
Ho (0.947, 0.759, 0.750)
Tm (0.095, 0.479, 0.750)
Tm (0.384, 0.905, 0.750)
Tm (0.479, 0.384, 0.250)
Tm (0.521, 0.616, 0.750)
Tm (0.616, 0.095, 0.250)
Tm (0.905, 0.521, 0.250)
Th (0.333, 0.667, 0.250)
Th (0.667, 0.333, 0.750)

Most intense lines, 2θ from 10° to 90°, in order of rising 2θ:
Position (°2θ)	d_spacing	Rel. int.
28.81	3.099	24
31.84	2.810	24
33.01	2.714	100
43.47	2.082	16
51.05	1.789	20
57.48	1.603	21
61.44	1.509	22
62.15	1.494	16
84.51	1.147	14
88.48	1.105	9

# 3
Structure and theoretical PXRD pattern of HoTm12Th7 (a cell relaxed with GGA-PBE; λ = 1.5418 Å (Cu Kα)).
Intensities are scaled so that the largest is 100.

Crystal structure
Lattice parameters (Å, degrees): 8.643 8.643 8.643 86.60 86.60 86.60
Positions (direct):
Ho (0.000, 0.000, 0.000)
Tm (0.134, 0.497, 0.622)
Tm (0.142, 0.741, 0.275)
Tm (0.259, 0.725, 0.858)
Tm (0.275, 0.142, 0.741)
Tm (0.378, 0.866, 0.503)
Tm (0.497, 0.622, 0.134)
Tm (0.503, 0.378, 0.866)
Tm (0.622, 0.134, 0.497)
Tm (0.725, 0.858, 0.259)
Tm (0.741, 0.275, 0.142)
Tm (0.858, 0.259, 0.725)
Tm (0.866, 0.503, 0.378)
Th (0.079, 0.155, 0.393)
Th (0.155, 0.393, 0.079)
Th (0.393, 0.079, 0.155)
Th (0.500, 0.500, 0.500)
Th (0.607, 0.921, 0.845)
Th (0.845, 0.607, 0.921)
Th (0.921, 0.845, 0.607)

Most intense lines, 2θ from 10° to 90°, in order of rising 2θ:
Position (°2θ)	d_spacing	Rel. int.
28.48	3.135	14
29.52	3.026	27
31.15	2.871	36
31.93	2.803	100
32.31	2.771	43
33.24	2.695	17
33.44	2.679	61
51.86	1.763	14
53.67	1.708	14
55.93	1.644	20

# 4
Structure and theoretical PXRD pattern of Ho3Tm9Th2 (a cell relaxed with GGA-PBE; λ = 1.5418 Å (Cu Kα)).
Intensities are scaled so that the largest is 100.

Crystal structure
Lattice parameters (Å, degrees): 3.497 11.069 11.637 76.80 81.41 89.95
Positions (direct):
Ho (0.000, 0.000, 0.000)
Ho (0.216, 0.339, 0.566)
Ho (0.784, 0.661, 0.434)
Tm (0.000, 0.500, 0.000)
Tm (0.148, 0.576, 0.706)
Tm (0.211, 0.875, 0.579)
Tm (0.361, 0.928, 0.279)
Tm (0.420, 0.692, 0.156)
Tm (0.580, 0.308, 0.844)
Tm (0.639, 0.072, 0.721)
Tm (0.789, 0.125, 0.421)
Tm (0.852, 0.424, 0.294)
Th (0.423, 0.231, 0.152)
Th (0.577, 0.769, 0.848)

Most intense lines, 2θ from 10° to 90°, in order of rising 2θ:
Position (°2θ)	d_spacing	Rel. int.
31.28	2.860	54
31.34	2.854	17
32.18	2.782	55
32.36	2.767	57
32.48	2.757	100
35.41	2.535	16
46.66	1.947	15
52.33	1.748	16
62.77	1.480	17
62.89	1.478	24

# 5
Structure and theoretical PXRD pattern of Ho3TmTh5 (a cell relaxed with GGA-PBE; λ = 1.5418 Å (Cu Kα)).
Intensities are scaled so that the largest is 100.

Crystal structure
Lattice parameters (Å, degrees): 9.598 9.598 9.598 122.72 122.72 85.36
Positions (direct):
Ho (0.104, 0.604, 0.708)
Ho (0.250, 0.250, 0.000)
Ho (0.396, 0.104, 0.500)
Ho (0.604, 0.896, 0.500)
Ho (0.750, 0.750, 0.000)
Ho (0.896, 0.396, 0.292)
Tm (0.250, 0.750, 0.500)
Tm (0.750, 0.250, 0.500)
Th (0.000, 0.000, 0.000)
Th (0.081, 0.164, 0.500)
Th (0.164, 0.664, 0.083)
Th (0.336, 0.419, 0.500)
Th (0.419, 0.919, 0.083)
Th (0.500, 0.500, 0.000)
Th (0.581, 0.081, 0.917)
Th (0.664, 0.581, 0.500)
Th (0.836, 0.336, 0.917)
Th (0.919, 0.836, 0.500)

Most intense lines, 2θ from 10° to 90°, in order of rising 2θ:
Position (°2θ)	d_spacing	Rel. int.
27.41	3.253	58
28.82	3.097	34
30.73	2.910	13
31.97	2.800	100
35.75	2.511	19
38.68	2.328	13
40.94	2.204	20
51.41	1.777	20
51.83	1.764	10
59.62	1.551	14

# 6
Structure and theoretical PXRD pattern of Ho5Tm4Th3 (a cell relaxed with GGA-PBE; λ = 1.5418 Å (Cu Kα)).
Intensities are scaled so that the largest is 100.

Crystal structure
Lattice parameters (Å, degrees): 9.230 9.230 8.596 113.91 113.91 35.83
Positions (direct):
Ho (0.000, 0.000, 0.000)
Ho (0.336, 0.336, 0.106)
Ho (0.403, 0.403, 0.554)
Ho (0.597, 0.597, 0.446)
Ho (0.664, 0.664, 0.894)
Tm (0.038, 0.038, 0.699)
Tm (0.213, 0.213, 0.652)
Tm (0.787, 0.787, 0.348)
Tm (0.962, 0.962, 0.301)
Th (0.182, 0.182, 0.229)
Th (0.500, 0.500, 0.000)
Th (0.818, 0.818, 0.771)

Most intense lines, 2θ from 10° to 90°, in order of rising 2θ:
Position (°2θ)	d_spacing	Rel. int.
29.91	2.987	86
30.30	2.950	100
31.52	2.839	80
32.23	2.778	95
45.68	1.986	52
52.10	1.755	21
55.13	1.666	19
55.36	1.660	19
56.46	1.630	17
75.13	1.264	19

# 7
Structure and theoretical PXRD pattern of Ho6Tm2Th3 (a cell relaxed with GGA-PBE; λ = 1.5418 Å (Cu Kα)).
Intensities are scaled so that the largest is 100.

Crystal structure
Lattice parameters (Å, degrees): 6.151 6.151 11.121 90.00 90.00 120.00
Positions (direct):
Ho (0.000, 0.330, 0.250)
Ho (0.000, 0.670, 0.750)
Ho (0.330, 0.000, 0.250)
Ho (0.330, 0.330, 0.750)
Ho (0.670, 0.000, 0.750)
Ho (0.670, 0.670, 0.250)
Tm (0.333, 0.667, 0.500)
Tm (0.667, 0.333, 0.500)
Th (0.000, 0.000, 0.000)
Th (0.333, 0.667, 0.000)
Th (0.667, 0.333, 0.000)

Most intense lines, 2θ from 10° to 90°, in order of rising 2θ:
Position (°2θ)	d_spacing	Rel. int.
30.15	2.964	48
32.20	2.780	32
33.29	2.691	100
38.02	2.367	26
51.47	1.776	26
58.11	1.588	21
62.02	1.496	30
62.69	1.482	17
85.31	1.138	14
89.55	1.095	12

# 8
Structure and theoretical PXRD pattern of Ho3Tm8Th2 (a cell relaxed with GGA-PBE; λ = 1.5418 Å (Cu Kα)).
Intensities are scaled so that the largest is 100.

Crystal structure
Lattice parameters (Å, degrees): 6.564 17.234 7.565 90.00 106.79 90.00
Positions (direct):
Ho (0.000, 0.000, 0.000)
Ho (0.000, 0.500, 0.500)
Ho (0.396, 0.246, 0.094)
Ho (0.396, 0.254, 0.594)
Ho (0.604, 0.746, 0.406)
Ho (0.604, 0.754, 0.906)
Tm (0.143, 0.116, 0.317)
Tm (0.143, 0.384, 0.817)
Tm (0.147, 0.739, 0.541)
Tm (0.147, 0.761, 0.041)
Tm (0.370, 0.580, 0.871)
Tm (0.370, 0.920, 0.371)
Tm (0.412, 0.573, 0.351)
Tm (0.412, 0.927, 0.851)
Tm (0.588, 0.073, 0.149)
Tm (0.588, 0.427, 0.649)
Tm (0.630, 0.080, 0.629)
Tm (0.630, 0.420, 0.129)
Tm (0.853, 0.239, 0.959)
Tm (0.853, 0.261, 0.459)
Tm (0.857, 0.616, 0.183)
Tm (0.857, 0.884, 0.683)
Th (0.155, 0.109, 0.741)
Th (0.155, 0.391, 0.241)
Th (0.845, 0.609, 0.759)
Th (0.845, 0.891, 0.259)

Most intense lines, 2θ from 10° to 90°, in order of rising 2θ:
Position (°2θ)	d_spacing	Rel. int.
26.70	3.339	13
31.14	2.872	23
32.30	2.772	100
32.48	2.757	66
33.57	2.670	15
35.97	2.497	13
49.23	1.851	18
57.83	1.594	13
59.25	1.560	16
61.80	1.501	11

# 9
Structure and theoretical PXRD pattern of Y2Ho2TmTh (a cell relaxed with GGA-PBE; λ = 1.5418 Å (Cu Kα)).
Intensities are scaled so that the largest is 100.

Crystal structure
Lattice parameters (Å, degrees): 5.004 10.669 7.092 90.00 90.00 90.00
Positions (direct):
Y (0.000, 0.001, 0.000)
Y (0.000, 0.999, 0.500)
Y (0.500, 0.170, 0.755)
Y (0.500, 0.830, 0.255)
Ho (0.000, 0.336, 0.500)
Ho (0.000, 0.664, 0.000)
Ho (0.500, 0.171, 0.245)
Ho (0.500, 0.829, 0.745)
Tm (0.500, 0.499, 0.251)
Tm (0.500, 0.501, 0.751)
Th (0.000, 0.334, 0.002)
Th (0.000, 0.666, 0.502)

Most intense lines, 2θ from 10° to 90°, in order of rising 2θ:
Position (°2θ)	d_spacing	Rel. int.
30.88	2.896	100
35.76	2.511	34
35.89	2.502	17
51.56	1.773	30
61.18	1.515	14
61.28	1.513	14
61.41	1.510	14
64.26	1.449	6
84.17	1.150	15
86.80	1.122	8

# 10
Structure and theoretical PXRD pattern of Y6Ho10Th (a cell relaxed with GGA-PBE; λ = 1.5418 Å (Cu Kα)).
Intensities are scaled so that the largest is 100.

Crystal structure
Lattice parameters (Å, degrees): 9.629 9.629 6.822 90.00 90.00 120.00
Positions (direct):
Y (0.000, 0.372, 0.310)
Y (0.000, 0.628, 0.690)
Y (0.372, 0.000, 0.310)
Y (0.372, 0.372, 0.690)
Y (0.628, 0.000, 0.690)
Y (0.628, 0.628, 0.310)
Ho (0.000, 0.278, 0.823)
Ho (0.000, 0.722, 0.177)
Ho (0.278, 0.000, 0.823)
Ho (0.278, 0.278, 0.177)
Ho (0.333, 0.667, 0.000)
Ho (0.333, 0.667, 0.500)
Ho (0.667, 0.333, 0.000)
Ho (0.667, 0.333, 0.500)
Ho (0.722, 0.000, 0.177)
Ho (0.722, 0.722, 0.823)
Th (0.000, 0.000, 0.500)

Most intense lines, 2θ from 10° to 90°, in order of rising 2θ:
Position (°2θ)	d_spacing	Rel. int.
22.60	3.934	9
25.03	3.558	7
31.26	2.861	22
32.18	2.782	100
46.15	1.967	15
49.48	1.842	9
57.36	1.606	21
60.24	1.536	9
63.60	1.463	7
76.60	1.244	8

# 11
Structure and theoretical PXRD pattern of Y7Ho2Th2 (a cell relaxed with GGA-PBE; λ = 1.5418 Å (Cu Kα)).
Intensities are scaled so that the largest is 100.

Crystal structure
Lattice parameters (Å, degrees): 5.602 6.923 9.464 90.00 90.00 90.00
Positions (direct):
Y (0.000, 0.000, 0.000)
Y (0.000, 0.500, 0.170)
Y (0.000, 0.500, 0.830)
Y (0.500, 0.000, 0.309)
Y (0.500, 0.000, 0.691)
Y (0.500, 0.500, 0.340)
Y (0.500, 0.500, 0.660)
Ho (0.000, 0.254, 0.500)
Ho (0.000, 0.746, 0.500)
Th (0.500, 0.275, 0.000)
Th (0.500, 0.725, 0.000)

Most intense lines, 2θ from 10° to 90°, in order of rising 2θ:
Position (°2θ)	d_spacing	Rel. int.
18.41	4.820	28
18.75	4.732	23
31.83	2.812	100
31.99	2.797	80
32.58	2.749	57
45.88	1.978	29
56.87	1.619	19
57.34	1.607	11
57.92	1.592	21
63.52	1.465	14

# 12
Structure and theoretical PXRD pattern of Y2Ho3Th6 (a cell relaxed with GGA-PBE; λ = 1.5418 Å (Cu Kα)).
Intensities are scaled so that the largest is 100.

Crystal structure
Lattice parameters (Å, degrees): 31.751 31.751 31.751 6.45 6.45 6.45
Positions (direct):
Y (0.046, 0.046, 0.046)
Y (0.954, 0.954, 0.954)
Ho (0.227, 0.227, 0.227)
Ho (0.500, 0.500, 0.500)
Ho (0.773, 0.773, 0.773)
Th (0.137, 0.137, 0.137)
Th (0.318, 0.318, 0.318)
Th (0.410, 0.410, 0.410)
Th (0.590, 0.590, 0.590)
Th (0.682, 0.682, 0.682)
Th (0.863, 0.863, 0.863)

Most intense lines, 2θ from 10° to 90°, in order of rising 2θ:
Position (°2θ)	d_spacing	Rel. int.
30.69	2.913	100
31.05	2.880	32
35.69	2.516	67
51.13	1.786	25
51.60	1.771	24
60.82	1.523	15
61.03	1.518	29
61.45	1.509	14
63.91	1.457	13
83.39	1.159	12